Entry 1:
Diffraction record for Li12Zn6Os. The powder X-ray diffraction pattern is simulated, not measured: it uses a GGA-PBE-relaxed structure and λ = 1.5418 Å (Cu Kα).
No peak broadening, texture or thermal motion is included.

Largest 10 diffraction maxima, in order of falling intensity, 10 to 90 degrees two-theta:
two_theta  Rel. int.
13.05  100
18.25  61
40.36  34
22.08  34
42.48  28
39.87  13
29.76  12
38.87  11
29.12  10
41.77  10

Structure:
Unit cell a=9.4682 b=9.4682 c=12.0751 alpha=90.00 beta=90.00 gamma=120.00
Space group R-3 (No. 148, hexagonal axes)
Asymmetric unit:
1 Li 0.0356 0.8503 0.3130 x18
2 Li 0.0608 0.2190 0.9128 x18
3 Zn 0.0360 0.5925 0.2031 x18
4 Os 0.0000 0.0000 0.5000 x3

Entry 2:
Diffraction record for Li4ZnOs. The powder X-ray diffraction pattern is simulated, not measured: it uses a GGA-PBE-relaxed structure and λ = 1.5418 Å (Cu Kα).
No peak broadening, texture or thermal motion is included.

Largest 10 diffraction maxima, in order of falling intensity, 10 to 90 degrees two-theta:
two_theta  Rel. int.
22.81  100
37.67  77
44.49  63
68.00  27
59.68  22
72.76  20
26.39  19
84.95  17
54.33  11
80.44  10

Structure:
Unit cell a=6.7539 b=6.7539 c=6.7539 alpha=90.00 beta=90.00 gamma=90.00
Space group F-43m (No. 216)
Asymmetric unit:
1 Li 0.1232 0.1232 0.1232 x16
2 Zn 0.0000 0.0000 0.5000 x4
3 Os 0.2500 0.2500 0.7500 x4

Entry 3:
Diffraction record for Li3P. The powder X-ray diffraction pattern is simulated, not measured: it uses a GGA-PBE-relaxed structure and λ = 1.5418 Å (Cu Kα).
No peak broadening, texture or thermal motion is included.

Largest 10 diffraction maxima, in order of falling intensity, 10 to 90 degrees two-theta:
two_theta  Rel. int.
27.11  100
44.68  53
23.98  50
44.15  46
24.43  40
34.50  31
42.57  22
55.90  14
78.85  13
57.42  12

Structure:
Unit cell a=7.4224 b=7.2864 c=4.2475 alpha=90.00 beta=90.00 gamma=90.00
Space group Cmcm (No. 63)
Asymmetric unit:
1 Li 0.0000 0.0832 0.2500 x4
2 Li 0.1760 0.3786 0.2500 x8
3 P 0.0000 0.2620 0.7500 x4

Entry 4:
Diffraction record for LiP. The powder X-ray diffraction pattern is simulated, not measured: it uses a GGA-PBE-relaxed structure and λ = 1.5418 Å (Cu Kα).
No peak broadening, texture or thermal motion is included.

Largest 10 diffraction maxima, in order of falling intensity, 10 to 90 degrees two-theta:
two_theta  Rel. int.
23.04  100
21.27  87
18.91  71
45.60  52
37.05  50
42.52  49
29.17  37
51.71  24
40.70  22
32.82  22

Structure:
Unit cell a=8.9144 b=3.2907 c=5.0080 alpha=90.00 beta=110.40 gamma=90.00
Space group C2/m (No. 12)
Asymmetric unit:
1 Li 0.1168 0.0000 0.2938 x4
2 P 0.1884 0.0000 0.8498 x4

Entry 5:
Diffraction record for Li3P7. The powder X-ray diffraction pattern is simulated, not measured: it uses a GGA-PBE-relaxed structure and λ = 1.5418 Å (Cu Kα).
No peak broadening, texture or thermal motion is included.

Largest 10 diffraction maxima, in order of falling intensity, 10 to 90 degrees two-theta:
two_theta  Rel. int.
16.92  100
30.81  38
30.29  36
19.05  34
31.20  29
14.32  26
17.97  25
34.21  23
29.56  22
14.68  22

Structure:
Unit cell a=7.6265 b=9.8743 c=10.5647 alpha=90.00 beta=90.00 gamma=90.00
Space group P2_12_12_1 (No. 19)
Asymmetric unit:
1 Li 0.0701 0.0267 0.0146 x4
2 Li 0.0985 0.8015 0.8097 x4
3 Li 0.1481 0.6917 0.3158 x4
4 P 0.0329 0.9417 0.5661 x4
5 P 0.0337 0.9290 0.2339 x4
6 P 0.0946 0.6326 0.0046 x4
7 P 0.1297 0.2811 0.0057 x4
8 P 0.1373 0.0471 0.3882 x4
9 P 0.1834 0.4282 0.6188 x4
10 P 0.2195 0.3750 0.1818 x4

Entry 6:
Diffraction record for LiP. The powder X-ray diffraction pattern is simulated, not measured: it uses a GGA-PBE-relaxed structure and λ = 1.5418 Å (Cu Kα).
No peak broadening, texture or thermal motion is included.

Largest 10 diffraction maxima, in order of falling intensity, 10 to 90 degrees two-theta:
two_theta  Rel. int.
20.09  100
28.36  96
43.89  62
28.01  60
33.58  46
52.53  43
47.77  33
36.39  25
13.62  23
40.84  19

Structure:
Unit cell a=3.2432 b=13.0047 c=4.6983 alpha=90.00 beta=90.00 gamma=90.00
Space group Imm2 (No. 44)
Asymmetric unit:
1 Li 0.0000 0.0000 0.0000 x2
2 Li 0.0000 0.2900 0.7289 x4
3 P 0.0000 0.3645 0.2325 x4
4 P 0.0000 0.5000 0.9725 x2

Entry 7:
Diffraction record for Li3P5. The powder X-ray diffraction pattern is simulated, not measured: it uses a GGA-PBE-relaxed structure and λ = 1.5418 Å (Cu Kα).
No peak broadening, texture or thermal motion is included.

Largest 10 diffraction maxima, in order of falling intensity, 10 to 90 degrees two-theta:
two_theta  Rel. int.
23.02  100
38.00  46
29.78  46
24.62  38
37.73  35
11.37  29
16.34  27
18.56  26
37.49  24
29.26  22

Structure:
Unit cell a=6.0911 b=15.5613 c=6.3773 alpha=90.00 beta=108.16 gamma=90.00
Space group Cm (No. 8)
Asymmetric unit:
1 Li 0.0000 0.0000 0.0000 x2
2 Li 0.0070 0.2828 0.7457 x4
3 Li 0.0318 0.0000 0.4782 x2
4 Li 0.3738 0.1698 0.2276 x4
5 P 0.0418 0.1878 0.4083 x4
6 P 0.1028 0.5000 0.0987 x2
7 P 0.1965 0.4302 0.6317 x4
8 P 0.3326 0.0701 0.8470 x4
9 P 0.4360 0.3137 0.0681 x4
10 P 0.4367 0.0000 0.3639 x2

Entry 8:
Diffraction record for LiP2. The powder X-ray diffraction pattern is simulated, not measured: it uses a GGA-PBE-relaxed structure and λ = 1.5418 Å (Cu Kα).
No peak broadening, texture or thermal motion is included.

Largest 10 diffraction maxima, in order of falling intensity, 10 to 90 degrees two-theta:
two_theta  Rel. int.
18.42  100
17.08  94
27.96  68
34.17  67
34.49  38
46.84  31
46.10  23
44.45  22
57.82  18
43.27  17

Structure:
Unit cell a=13.4174 b=3.2847 c=5.4544 alpha=90.00 beta=107.90 gamma=90.00
Space group C2/m (No. 12)
Asymmetric unit:
1 Li 0.1696 0.0000 0.2201 x4
2 P 0.0802 0.5000 0.4776 x4
3 P 0.1578 0.0000 0.7380 x4

Entry 9:
Diffraction record for LiP. The powder X-ray diffraction pattern is simulated, not measured: it uses a GGA-PBE-relaxed structure and λ = 1.5418 Å (Cu Kα).
No peak broadening, texture or thermal motion is included.

Largest 10 diffraction maxima, in order of falling intensity, 10 to 90 degrees two-theta:
two_theta  Rel. int.
25.60  100
18.82  53
25.85  52
19.15  40
30.64  39
49.55  33
45.84  23
37.70  22
46.02  19
48.92  17

Structure:
Unit cell a=5.1561 b=5.4769 c=9.2713 alpha=90.00 beta=90.00 gamma=90.00
Space group P2_12_12_1 (No. 19)
Asymmetric unit:
1 Li 0.0411 0.1010 0.1834 x4
2 Li 0.1294 0.5479 0.5990 x4
3 P 0.1233 0.0186 0.4679 x4
4 P 0.1606 0.6739 0.8711 x4

Entry 10:
Diffraction record for Li2PPb. The powder X-ray diffraction pattern is simulated, not measured: it uses a GGA-PBE-relaxed structure and λ = 1.5418 Å (Cu Kα).
No peak broadening, texture or thermal motion is included.

Largest 10 diffraction maxima, in order of falling intensity, 10 to 90 degrees two-theta:
two_theta  Rel. int.
30.85  100
21.07  63
20.42  63
25.61  44
42.87  41
46.72  34
41.54  33
32.97  24
60.20  22
69.20  20

Structure:
Unit cell a=4.3467 b=4.3467 c=17.4001 alpha=90.00 beta=90.00 gamma=90.00
Space group I-42d (No. 122)
Asymmetric unit:
1 Li 0.1698 0.7500 0.1250 x8
2 P 0.0000 0.0000 0.0000 x4
3 Pb 0.0000 0.0000 0.5000 x4

Entry 11:
Diffraction record for Li4P4Pb. The powder X-ray diffraction pattern is simulated, not measured: it uses a GGA-PBE-relaxed structure and λ = 1.5418 Å (Cu Kα).
No peak broadening, texture or thermal motion is included.

Largest 10 diffraction maxima, in order of falling intensity, 10 to 90 degrees two-theta:
two_theta  Rel. int.
17.29  100
31.20  38
20.44  38
18.15  34
34.01  26
34.96  23
33.77  23
43.16  19
38.60  16
36.77  14

Structure:
Unit cell a=8.6917 b=8.3617 c=9.7758 alpha=90.00 beta=90.00 gamma=90.00
Space group Cmcm (No. 63)
Asymmetric unit:
1 Li 0.1632 0.1922 0.2500 x8
2 Li 0.2172 0.5000 0.0000 x8
3 P 0.0000 0.1207 0.0394 x8
4 P 0.1250 0.4877 0.2500 x8
5 Pb 0.0000 0.1974 0.7500 x4

Entry 12:
Diffraction record for Li2P2Pb3. The powder X-ray diffraction pattern is simulated, not measured: it uses a GGA-PBE-relaxed structure and λ = 1.5418 Å (Cu Kα).
No peak broadening, texture or thermal motion is included.

Largest 10 diffraction maxima, in order of falling intensity, 10 to 90 degrees two-theta:
two_theta  Rel. int.
34.95  100
15.68  84
31.03  66
44.93  49
31.67  27
58.54  23
57.70  15
74.85  11
65.00  11
67.09  10

Structure:
Unit cell a=5.7755 b=9.9647 c=5.6511 alpha=90.00 beta=90.00 gamma=90.00
Space group Pbam (No. 55)
Asymmetric unit:
1 Li 0.1236 0.1380 0.0000 x4
2 P 0.1248 0.4159 0.0000 x4
3 Pb 0.0000 0.0000 0.5000 x2
4 Pb 0.0113 0.3316 0.5000 x4